# 1
The following is a computed X-ray diffraction stick pattern of CuF. It was derived from DFT lattice parameters and positions (GGA-PBE), using Cu Ka.

Cell and atoms:
```
data_CuF
_chemical_formula_sum 'Cu4 F4'
_symmetry_space_group_name_H-M 'P 42/n c m'
_symmetry_Int_Tables_number 138
_cell_length_a 3.6995
_cell_length_b 3.6995
_cell_length_c 7.2584
_cell_angle_alpha 90.00
_cell_angle_beta 90.00
_cell_angle_gamma 90.00
loop_
_symmetry_equiv_pos_as_xyz
'x,y,z'
'-x,-y,-z'
'-y+1/2,x,z+1/2'
'y+1/2,-x,-z+1/2'
'-x+1/2,-y+1/2,z'
'x+1/2,y+1/2,-z'
'y,-x+1/2,z+1/2'
'-y,x+1/2,-z+1/2'
'x+1/2,-y,-z+1/2'
'-x+1/2,y,z+1/2'
'-y,-x,-z'
'y,x,z'
'-x,y+1/2,-z+1/2'
'x,-y+1/2,z+1/2'
'y+1/2,x+1/2,-z'
'-y+1/2,-x+1/2,z'
loop_
_atom_site_label
_atom_site_fract_x
_atom_site_fract_y
_atom_site_fract_z
Cu1 0.0000 0.0000 0.0000
F1 0.2500 0.2500 0.1876
```

Peak list (6 most intense, 2θ = 10–90°, most intense first)
d [Å], 2θ (°), I_rel
2.461, 36.51, 100
3.629, 24.53, 44
1.648, 55.78, 38
1.776, 51.45, 35
1.155, 83.75, 15
1.295, 73.05, 11

***

# 2
The following is a computed X-ray diffraction stick pattern of LuSbN2O. It was derived from DFT lattice parameters and positions (GGA-PBE), using Cu Ka.

Cell and atoms:
```
data_LuSbN2O
_chemical_formula_sum 'Lu2 Sb2 N4 O2'
_symmetry_space_group_name_H-M 'P 1'
_symmetry_Int_Tables_number 1
_cell_length_a 5.4354
_cell_length_b 5.5262
_cell_length_c 5.8589
_cell_angle_alpha 62.37
_cell_angle_beta 63.59
_cell_angle_gamma 60.56
loop_
_symmetry_equiv_pos_as_xyz
'x,y,z'
loop_
_atom_site_label
_atom_site_fract_x
_atom_site_fract_y
_atom_site_fract_z
Lu1 0.0000 0.0000 0.0000
Lu2 0.2759 0.2746 0.1766
Sb1 0.4972 0.4584 0.5409
Sb2 0.7842 0.7857 0.6377
N1 0.1777 0.5988 0.3646
N2 0.4152 0.0772 0.8272
N3 0.6641 0.4232 0.8217
N4 0.8603 0.1811 0.3464
O1 0.0655 0.6713 0.8490
O2 0.5862 0.8561 0.3488
```

Peak list (6 most intense, 2θ = 10–90°, most intense first)
d [Å], 2θ (°), I_rel
2.763, 32.41, 100
2.967, 30.12, 56
2.911, 30.71, 52
2.938, 30.42, 49
2.717, 32.97, 48
1.577, 58.52, 26

***

# 3
The following is a computed X-ray diffraction stick pattern of Lu4GaC2S. It was derived from DFT lattice parameters and positions (GGA-PBE), using Cu Ka.

Cell and atoms:
```
data_Lu4GaC2S
_chemical_formula_sum 'Lu4 Ga1 C2 S1'
_symmetry_space_group_name_H-M 'P -6 m 2'
_symmetry_Int_Tables_number 187
_symmetry_space_group_name_Hall 'P -6 2'
_cell_length_a 3.5519
_cell_length_b 3.5519
_cell_length_c 13.8166
_cell_angle_alpha 90.00
_cell_angle_beta 90.00
_cell_angle_gamma 120.00
loop_
_atom_site_label
_atom_site_fract_x
_atom_site_fract_y
_atom_site_fract_z
Lu1 0.0000 0.0000 0.1343
Lu2 0.3333 0.6667 0.3228
Ga1 0.0000 0.0000 0.5000
C1 0.6667 0.3333 0.2290
S1 0.3333 0.6667 0.0000
```

Peak list (6 most intense, 2θ = 10–90°, most intense first)
d [Å], 2θ (°), I_rel
2.558, 35.08, 100
3.076, 29.03, 29
1.776, 51.45, 28
3.003, 29.76, 22
2.300, 39.18, 20
1.459, 63.80, 18

***

# 4
The following is a computed X-ray diffraction stick pattern of Ho4Al4O11. It was derived from DFT lattice parameters and positions (GGA-PBE), using Cu Ka.

Cell and atoms:
```
data_Ho4Al4O11
_chemical_formula_sum 'Ho4 Al4 O11'
_symmetry_space_group_name_H-M 'P 1 m 1'
_symmetry_Int_Tables_number 6
_cell_length_a 5.1497
_cell_length_b 7.3059
_cell_length_c 5.3327
_cell_angle_alpha 90.00
_cell_angle_beta 90.16
_cell_angle_gamma 90.00
loop_
_symmetry_equiv_pos_as_xyz
'x,y,z'
'x,-y,z'
loop_
_atom_site_label
_atom_site_fract_x
_atom_site_fract_y
_atom_site_fract_z
Ho1 0.0000 0.0000 0.0000
Ho2 0.0225 0.5000 0.1110
Ho3 0.5009 0.5000 0.6168
Ho4 0.5235 0.0000 0.4980
Al1 0.0124 0.2512 0.5560
Al2 0.5124 0.2557 0.0576
O1 0.0978 0.0000 0.5795
O2 0.2159 0.2966 0.8514
O3 0.3088 0.2953 0.3528
O4 0.4263 0.0000 0.0788
O5 0.7161 0.2073 0.7609
O6 0.8096 0.2067 0.2594
O7 0.9246 0.5000 0.5328
```

Peak list (6 most intense, 2θ = 10–90°, most intense first)
d [Å], 2θ (°), I_rel
2.601, 34.48, 100
3.704, 24.02, 61
1.638, 56.16, 33
3.653, 24.37, 31
2.105, 42.98, 26
2.575, 34.84, 24

***

# 5
The following is a computed X-ray diffraction stick pattern of Co2Si2PdPt. It was derived from DFT lattice parameters and positions (GGA-PBE), using Cu Ka.

Cell and atoms:
```
data_Co2Si2PdPt
_chemical_formula_sum 'Co2 Si2 Pd1 Pt1'
_symmetry_space_group_name_H-M 'P 4 m m'
_symmetry_Int_Tables_number 99
_cell_length_a 3.5701
_cell_length_b 3.5701
_cell_length_c 6.0273
_cell_angle_alpha 90.00
_cell_angle_beta 90.00
_cell_angle_gamma 90.00
loop_
_symmetry_equiv_pos_as_xyz
'x,y,z'
'-y,x,z'
'-x,-y,z'
'y,-x,z'
'-x,y,z'
'y,x,z'
'x,-y,z'
'-y,-x,z'
loop_
_atom_site_label
_atom_site_fract_x
_atom_site_fract_y
_atom_site_fract_z
Co1 0.0000 0.5000 0.0000
Si1 0.0000 0.0000 0.2348
Si2 0.5000 0.5000 0.7658
Pd1 0.5000 0.5000 0.3691
Pt1 0.0000 0.0000 0.6336
```

Peak list (6 most intense, 2θ = 10–90°, most intense first)
d [Å], 2θ (°), I_rel
2.328, 38.67, 100
2.303, 39.12, 87
3.072, 29.07, 59
1.785, 51.17, 48
1.411, 66.24, 37
2.524, 35.56, 32

***

# 6
The following is a computed X-ray diffraction stick pattern of HfTe2W. It was derived from DFT lattice parameters and positions (GGA-PBE), using Cu Ka.

Cell and atoms:
```
data_HfTe2W
_chemical_formula_sum 'Hf4 Te8 W4'
_symmetry_space_group_name_H-M 'F -4 3 m'
_symmetry_Int_Tables_number 216
_symmetry_space_group_name_Hall 'F -4 2 3'
_cell_length_a 7.0389
_cell_length_b 7.0389
_cell_length_c 7.0389
_cell_angle_alpha 90.00
_cell_angle_beta 90.00
_cell_angle_gamma 90.00
loop_
_atom_site_label
_atom_site_fract_x
_atom_site_fract_y
_atom_site_fract_z
Hf1 0.0000 0.0000 0.0000
Te1 0.0000 0.0000 0.5000
Te2 0.2500 0.2500 0.2500
W1 0.2500 0.2500 0.7500
```

Peak list (6 most intense, 2θ = 10–90°, most intense first)
d [Å], 2θ (°), I_rel
2.489, 36.09, 100
1.437, 64.90, 36
1.760, 51.96, 18
1.113, 87.69, 16
1.244, 76.57, 11
4.064, 21.87, 4